MgMn4Fe2O8: theoretical powder XRD pattern (Cu Kα (weighted mean of Kα1 and Kα2)), based on a DFT-relaxed cell (PBE+U, the Materials Project).

Structure:
Cell: 6.073 6.349 6.352 Å, 60.35 62.02 87.80°
Fractional positions:
Mg 0.000 0.000 0.000
Mn 0.024 0.813 0.472
Mn 0.288 0.326 0.431
Mn 0.523 0.834 0.390
Mn 0.921 0.439 0.139
Fe 0.553 0.862 0.841
Fe 0.567 0.348 0.832
O 0.323 0.596 0.842
O 0.339 0.686 0.297
O 0.351 0.105 0.274
O 0.367 0.153 0.770
O 0.748 0.568 0.888
O 0.797 0.640 0.345
O 0.801 0.053 0.331
O 0.839 0.147 0.770

Most intense lines, 10 to 90 degrees two-theta, in order of rising 2θ:
2θ = 31.5°, intensity 50
2θ = 32.5°, intensity 100
2θ = 33.2°, intensity 94
2θ = 33.6°, intensity 74
2θ = 38.1°, intensity 52
2θ = 58.2°, intensity 73